Structure and calculated powder diffraction line list of LiScTlTe3 (a cell relaxed with PBE; Cu Kα, 1.54184 Å).
Lines closer than 0.1° are merged.

Largest 10 diffraction maxima, sorted by position, 2θ = 15–90°:
hkl 1 1 1, 2θ 26.66, I = 238; hkl 1 1 -2, 2θ 28.15, I = 326; hkl 0 1 2, 2θ 28.38, I = 372; hkl 2 1 -1, 2θ 29.21, I = 1000; hkl 2 1 0, 2θ 29.77, I = 522; hkl 1 1 2, 2θ 32.18, I = 237; hkl 1 0 3, 2θ 32.60, I = 320; hkl 4 0 -1, 2θ 39.62, I = 286; hkl 0 2 0, 2θ 43.59, I = 297; hkl 3 1 2, 2θ 46.77, I = 328

Structural model:
abc: 9.1353 4.1529 10.1285
angles: 90.00 108.07 90.00
Space group P2_1/m (No. 11)
Unique sites:
Li1 0.0727 0.2500 0.1030 (multiplicity 2)
Sc1 0.3253 0.7500 0.3446 (multiplicity 2)
Tl1 0.2012 0.2500 0.7562 (multiplicity 2)
Te1 0.1195 0.2500 0.3843 (multiplicity 2)
Te2 0.2424 0.7500 0.0437 (multiplicity 2)
Te3 0.4460 0.7500 0.6506 (multiplicity 2)


Structure and calculated powder diffraction line list of Tm3ZnRh (a cell relaxed with PBE; Cu Kα, 1.54184 Å).
Lines closer than 0.1° are merged.

Largest 10 diffraction maxima, sorted by position, 2θ = 15–90°:
hkl 0 2 0, 2θ 28.85, I = 242; hkl 3 1 -2, 2θ 32.87, I = 1000; hkl 1 1 -3, 2θ 32.97, I = 308; hkl 3 1 0, 2θ 36.58, I = 269; hkl 0 2 2, 2θ 36.69, I = 934; hkl 2 0 2, 2θ 38.88, I = 241; hkl 2 0 -4, 2θ 38.99, I = 163; hkl 2 2 -3, 2θ 41.72, I = 231; hkl 3 3 -2, 2θ 53.74, I = 187; hkl 0 4 0, 2θ 59.77, I = 153

Structural model:
abc: 9.2807 6.1895 9.2401
angles: 90.00 120.02 90.00
Space group C2/m (No. 12)
Unique sites:
Tm1 0.0762 0.0000 0.2904 (multiplicity 4)
Tm2 0.1952 0.5000 0.8904 (multiplicity 4)
Tm3 0.2135 0.5000 0.2924 (multiplicity 4)
Zn1 0.0000 0.3028 0.5000 (multiplicity 4)
Rh1 0.0000 0.2503 0.0000 (multiplicity 4)


Structure and calculated powder diffraction line list of La6PrAg2 (a cell relaxed with PBE; Cu Kα, 1.54184 Å).
Lines closer than 0.1° are merged.

Largest 10 diffraction maxima, sorted by position, 2θ = 15–90°:
hkl 2 0 3, 2θ 30.41, I = 495; hkl 4 0 -3, 2θ 30.71, I = 473; hkl 3 1 0, 2θ 31.76, I = 925; hkl 1 1 -3, 2θ 31.90, I = 1000; hkl 2 0 -6, 2θ 43.98, I = 127; hkl 0 2 0, 2θ 47.45, I = 173; hkl 7 1 -3, 2θ 55.13, I = 219; hkl 2 2 3, 2θ 57.41, I = 161; hkl 4 2 -3, 2θ 57.59, I = 156; hkl 1 3 -3, 2θ 78.34, I = 136

Structural model:
abc: 13.0942 3.8321 12.3545
angles: 90.00 107.79 90.00
Space group C2/m (No. 12)
Unique sites:
La1 0.0269 0.0000 0.3325 (multiplicity 4)
La2 0.1830 0.5000 0.8767 (multiplicity 4)
La3 0.1876 0.5000 0.5907 (multiplicity 4)
Pr1 0.0000 0.0000 0.0000 (multiplicity 2)
Ag1 0.1469 0.5000 0.1956 (multiplicity 4)


Structure and calculated powder diffraction line list of La2ZnBPt6 (a cell relaxed with PBE; Cu Kα, 1.54184 Å).
Lines closer than 0.1° are merged.

Largest 10 diffraction maxima, sorted by position, 2θ = 15–90°:
hkl 0 0 6, 2θ 27.02, I = 315; hkl 0 1 5, 2θ 28.83, I = 255; hkl 1 1 3, 2θ 34.07, I = 220; hkl 1 0 7, 2θ 36.55, I = 234; hkl 2 0 2, 2θ 37.31, I = 1000; hkl 0 2 4, 2θ 40.63, I = 769; hkl 1 1 9, 2θ 52.40, I = 132; hkl 2 1 7, 2θ 59.03, I = 163; hkl 2 2 0, 2θ 65.01, I = 270; hkl 0 2 13, 2θ 72.81, I = 177

Structural model:
abc: 5.7386 5.7386 19.8016
angles: 90.00 90.00 120.00
Space group R-3m (No. 166, hexagonal axes)
Unique sites:
La1 0.0000 0.0000 0.2147 (multiplicity 6)
Zn1 0.0000 0.0000 0.5000 (multiplicity 3)
B1 0.0000 0.0000 0.0000 (multiplicity 3)
Pt1 0.0123 0.5061 0.2703 (multiplicity 18)


Structure and calculated powder diffraction line list of Pr4SmTe6 (a cell relaxed with PBE; Cu Kα, 1.54184 Å).
Lines closer than 0.1° are merged.

Largest 10 diffraction maxima, sorted by position, 2θ = 15–90°:
hkl 0 2 6, 2θ 26.17, I = 564; hkl 1 3 1, 2θ 27.43, I = 484; hkl 1 3 2, 2θ 28.26, I = 1000; hkl 1 3 3, 2θ 29.59, I = 589; hkl 0 2 7, 2θ 29.75, I = 298; hkl 1 1 8, 2θ 37.90, I = 417; hkl 0 6 4, 2θ 39.66, I = 359; hkl 1 5 4, 2θ 39.87, I = 311; hkl 2 0 0, 2θ 41.11, I = 393; hkl 2 6 4, 2θ 58.45, I = 230

Structural model:
abc: 4.3912 14.8448 22.9908
angles: 90.00 90.00 90.00
Space group Cmcm (No. 63)
Unique sites:
Pr1 0.0000 0.0850 0.1274 (multiplicity 8)
Pr2 0.0000 0.3562 0.0368 (multiplicity 8)
Sm1 0.0000 0.1558 0.7500 (multiplicity 4)
Te1 0.0000 0.0000 0.0000 (multiplicity 4)
Te2 0.0000 0.1902 0.2500 (multiplicity 4)
Te3 0.0000 0.2695 0.5941 (multiplicity 8)
Te4 0.0000 0.4405 0.1679 (multiplicity 8)


Structure and calculated powder diffraction line list of Cs2InIO6 (a cell relaxed with PBE; Cu Kα, 1.54184 Å).
Lines closer than 0.1° are merged.

Largest 10 diffraction maxima, sorted by position, 2θ = 15–90°:
hkl 1 0 0, 2θ 15.23, I = 418; hkl 1 0 1, 2θ 21.92, I = 495; hkl 1 1 0, 2θ 26.54, I = 1000; hkl 0 2 1, 2θ 34.68, I = 327; hkl 0 1 2, 2θ 35.29, I = 444; hkl 2 0 2, 2θ 44.70, I = 346; hkl 3 0 0, 2θ 46.86, I = 190; hkl 1 2 2, 2θ 52.74, I = 360; hkl 2 2 0, 2θ 54.66, I = 166; hkl 3 1 2, 2θ 66.76, I = 166

Structural model:
abc: 6.7164 6.7164 5.6553
angles: 90.00 90.00 120.00
Space group P-3m1 (No. 164)
Unique sites:
Cs1 0.3333 0.6667 0.1783 (multiplicity 2)
In1 0.0000 0.0000 0.5000 (multiplicity 1)
I1 0.0000 0.0000 0.0000 (multiplicity 1)
O1 0.1308 0.2616 0.7902 (multiplicity 6)


Structure and calculated powder diffraction line list of Ba2SiAg (a cell relaxed with PBE; Cu Kα, 1.54184 Å).
Lines closer than 0.1° are merged.

Largest 10 diffraction maxima, sorted by position, 2θ = 15–90°:
hkl 1 0 2, 2θ 24.46, I = 342; hkl 1 1 1, 2θ 26.77, I = 1000; hkl 0 1 3, 2θ 29.23, I = 697; hkl 0 2 0, 2θ 34.92, I = 628; hkl 1 0 4, 2θ 36.83, I = 218; hkl 2 0 0, 2θ 38.04, I = 235; hkl 1 2 2, 2θ 43.06, I = 152; hkl 2 1 3, 2θ 48.68, I = 330; hkl 1 2 4, 2θ 51.62, I = 160; hkl 2 2 0, 2θ 52.55, I = 180

Structural model:
abc: 4.7311 5.1454 11.3941
angles: 90.00 90.00 90.00
Space group Amm2 (No. 38)
Unique sites:
Ba1 0.0000 0.0000 0.0000 (multiplicity 2)
Ba2 0.5000 0.0000 0.2923 (multiplicity 2)
Si1 0.5000 0.0000 0.5975 (multiplicity 2)
Ag1 0.0000 0.0000 0.6890 (multiplicity 2)


Structure and calculated powder diffraction line list of Ca7C5 (a cell relaxed with PBE; Cu Kα, 1.54184 Å).
Lines closer than 0.1° are merged.

Largest 10 diffraction maxima, sorted by position, 2θ = 15–90°:
hkl 1 0 1, 2θ 16.03, I = 300; hkl 2 0 0, 2θ 23.17, I = 228; hkl 1 1 2, 2θ 27.77, I = 463; hkl 2 1 1, 2θ 28.30, I = 1000; hkl 2 2 2, 2θ 40.20, I = 791; hkl 2 1 3, 2θ 43.05, I = 349; hkl 3 1 2, 2θ 43.65, I = 265; hkl 3 2 1, 2θ 44.01, I = 259; hkl 4 0 0, 2θ 47.36, I = 411; hkl 4 0 4, 2θ 67.79, I = 230

Structural model:
abc: 7.6784 7.6784 7.9686
angles: 90.00 90.00 90.00
Space group I4mm (No. 107)
Unique sites:
Ca1 0.0000 0.0000 0.0000 (multiplicity 2)
Ca2 0.0000 0.2516 0.4913 (multiplicity 8)
Ca3 0.0000 0.5000 0.2423 (multiplicity 4)
C1 0.0000 0.0000 0.6885 (multiplicity 2)
C2 0.2488 0.2488 0.7253 (multiplicity 8)


Structure and calculated powder diffraction line list of BaAl2Te4 (a cell relaxed with PBE; Cu Kα, 1.54184 Å).
Lines closer than 0.1° are merged.

Largest 10 diffraction maxima, sorted by position, 2θ = 15–90°:
hkl 1 0 1, 2θ 16.63, I = 156; hkl 2 1 1, 2θ 26.44, I = 1000; hkl 2 2 0, 2θ 29.02, I = 113; hkl 3 1 0, 2θ 32.53, I = 183; hkl 2 0 2, 2θ 33.62, I = 326; hkl 4 1 1, 2θ 45.00, I = 217; hkl 2 1 3, 2θ 46.65, I = 256; hkl 3 3 2, 2θ 52.19, I = 148; hkl 4 1 3, 2θ 60.12, I = 105; hkl 6 2 2, 2θ 74.44, I = 142

Structural model:
abc: 8.7036 8.7036 6.7465
angles: 90.00 90.00 90.00
Space group I422 (No. 97)
Unique sites:
Ba1 0.0000 0.0000 0.0000 (multiplicity 2)
Al1 0.0000 0.5000 0.0000 (multiplicity 4)
Te1 0.1666 0.3334 0.2500 (multiplicity 8)


Structure and calculated powder diffraction line list of SmPd2O4 (a cell relaxed with PBE; Cu Kα, 1.54184 Å).
Lines closer than 0.1° are merged.

Largest 10 diffraction maxima, sorted by position, 2θ = 15–90°:
hkl 0 2 2, 2θ 23.56, I = 440; hkl 1 1 3, 2θ 28.20, I = 1000; hkl 1 3 1, 2θ 31.27, I = 781; hkl 2 2 2, 2θ 36.31, I = 365; hkl 1 1 5, 2θ 42.18, I = 384; hkl 3 1 1, 2θ 43.13, I = 443; hkl 2 2 4, 2θ 45.53, I = 184; hkl 0 4 4, 2θ 48.19, I = 392; hkl 1 5 1, 2θ 48.57, I = 420; hkl 3 3 3, 2θ 55.73, I = 164

Structural model:
abc: 6.5491 9.9255 11.6427
angles: 90.00 90.00 90.00
Space group Fddd (No. 70, origin choice 2)
Unique sites:
Sm1 0.1250 0.1250 0.1250 (multiplicity 8)
Pd1 0.0000 0.0000 0.5000 (multiplicity 16)
O1 0.0545 0.2990 0.9886 (multiplicity 32)


Structure and calculated powder diffraction line list of Ba3Mg2Sn3 (a cell relaxed with PBE; Cu Kα, 1.54184 Å).
Lines closer than 0.1° are merged.

Largest 10 diffraction maxima, sorted by position, 2θ = 15–90°:
hkl 2 1 1, 2θ 23.25, I = 313; hkl 1 4 1, 2θ 26.10, I = 657; hkl 1 0 2, 2θ 27.23, I = 936; hkl 2 3 1, 2θ 27.56, I = 372; hkl 2 4 0, 2θ 28.01, I = 1000; hkl 2 4 1, 2θ 30.86, I = 426; hkl 3 0 1, 2θ 31.04, I = 728; hkl 1 3 2, 2θ 31.47, I = 862; hkl 1 4 2, 2θ 34.43, I = 396; hkl 4 0 1, 2θ 40.12, I = 482

Structural model:
abc: 9.4911 17.1904 6.9780
angles: 90.00 90.00 90.00
Space group Pnma (No. 62)
Unique sites:
Ba1 0.0420 0.1083 0.1277 (multiplicity 8)
Ba2 0.1962 0.2500 0.5883 (multiplicity 4)
Mg1 0.0950 0.5967 0.3956 (multiplicity 8)
Sn1 0.1639 0.7500 0.5741 (multiplicity 4)
Sn2 0.1992 0.0373 0.6214 (multiplicity 8)